(1)
The following is a theoretical powder diffraction line list of NpMn2InO8. It was derived from a cell relaxed with PBE+U, using λ = 1.5418 Å (Cu Kα).
Lines closer than 0.1° are merged.

Most intense lines, 2θ from 10° to 80°, in order of rising 2θ:
2θ/deg, d_spacing, I/Imax
17.9, 4.959, 74
24.4, 3.649, 81
26.4, 3.380, 68
33.9, 2.642, 100
49.4, 1.846, 49
51.6, 1.772, 45

Structure:
a = 4.973 Å, b = 4.973 Å, c = 6.244 Å
α = 90.00°, β = 90.00°, γ = 94.39°
Fractional positions:
Np1 0.000 0.000 0.000
Mn1 0.500 0.500 0.255
Mn2 0.500 0.500 0.745
In1 0.000 0.000 0.500
O1 0.189 0.811 0.228
O2 0.189 0.811 0.772
O3 0.316 0.316 0.000
O4 0.318 0.318 0.500
O5 0.682 0.682 0.500
O6 0.684 0.684 0.000
O7 0.811 0.189 0.228
O8 0.811 0.189 0.772



(2)
The following is a theoretical powder diffraction line list of MnIn2O5. It was derived from a cell relaxed with PBE+U, using λ = 1.5418 Å (Cu Kα).
Lines closer than 0.1° are merged.

Most intense lines, 2θ from 10° to 80°, in order of rising 2θ:
2θ/deg, d_spacing, I/Imax
30.8, 2.902, 100
35.4, 2.539, 19
50.9, 1.795, 13
51.7, 1.769, 25
60.7, 1.527, 18
62.1, 1.494, 12

Structure:
a = 7.180 Å, b = 3.591 Å, c = 14.791 Å
α = 90.00°, β = 90.00°, γ = 90.00°
Fractional positions:
Mn1 0.099 0.250 0.071
Mn2 0.401 0.750 0.571
Mn3 0.599 0.250 0.429
Mn4 0.901 0.750 0.929
In1 0.100 0.250 0.416
In2 0.176 0.250 0.756
In3 0.324 0.750 0.256
In4 0.400 0.750 0.916
In5 0.600 0.250 0.084
In6 0.676 0.250 0.744
In7 0.824 0.750 0.244
In8 0.900 0.750 0.584
O1 0.064 0.750 0.326
O2 0.073 0.750 0.044
O3 0.123 0.750 0.850
O4 0.160 0.750 0.504
O5 0.243 0.250 0.176
O6 0.257 0.750 0.676
O7 0.340 0.250 0.004
O8 0.377 0.250 0.350
O9 0.427 0.250 0.544
O10 0.436 0.250 0.826
O11 0.564 0.750 0.174
O12 0.573 0.750 0.456
O13 0.623 0.750 0.650
O14 0.660 0.750 0.996
O15 0.743 0.250 0.324
O16 0.757 0.750 0.824
O17 0.840 0.250 0.496
O18 0.877 0.250 0.150
O19 0.927 0.250 0.956
O20 0.936 0.250 0.674



(3)
The following is a theoretical powder diffraction line list of PuMnIn2O6. It was derived from a cell relaxed with PBE+U, using λ = 1.5418 Å (Cu Kα).
Lines closer than 0.1° are merged.

Most intense lines, 2θ from 10° to 80°, in order of rising 2θ:
2θ/deg, d_spacing, I/Imax
19.2, 4.629, 44
30.1, 2.968, 100
31.8, 2.810, 99
44.4, 2.041, 40
48.8, 1.866, 43
55.7, 1.651, 39

Structure:
a = 5.955 Å, b = 5.955 Å, c = 5.955 Å
α = 56.32°, β = 56.32°, γ = 56.32°
Fractional positions:
Pu1 0.000 0.000 0.000
Mn1 0.497 0.497 0.497
In1 0.210 0.210 0.210
In2 0.708 0.708 0.708
O1 0.101 0.803 0.401
O2 0.307 0.596 0.901
O3 0.401 0.101 0.803
O4 0.596 0.901 0.307
O5 0.803 0.401 0.101
O6 0.901 0.307 0.596



(4)
The following is a theoretical powder diffraction line list of MnIn2SbO8. It was derived from a cell relaxed with PBE+U, using λ = 1.5418 Å (Cu Kα).
Lines closer than 0.1° are merged.

Most intense lines, 2θ from 10° to 80°, in order of rising 2θ:
2θ/deg, d_spacing, I/Imax
25.6, 3.478, 74
26.5, 3.361, 62
33.8, 2.653, 100
50.6, 1.804, 47
51.6, 1.770, 39
64.9, 1.436, 35

Structure:
a = 4.837 Å, b = 4.837 Å, c = 6.348 Å
α = 90.00°, β = 90.00°, γ = 91.96°
Fractional positions:
Mn1 0.000 0.000 0.000
In1 0.500 0.500 0.246
In2 0.500 0.500 0.754
Sb1 0.000 0.000 0.500
O1 0.179 0.821 0.244
O2 0.179 0.821 0.756
O3 0.283 0.283 0.000
O4 0.294 0.294 0.500
O5 0.706 0.706 0.500
O6 0.717 0.717 0.000
O7 0.821 0.179 0.244
O8 0.821 0.179 0.756